Record 1
# Ce3AlCu2Si6
Computed X-ray powder pattern, Cu Kα. Input: DFT lattice parameters and positions (GGA-PBE).
No peak broadening, texture or thermal motion is included.

Unit cell a=5.750 b=5.750 c=8.126 alpha=90.00 beta=90.00 gamma=120.00
Fractional coordinates of all 12 atoms:
Ce 0.000 0.000 0.000
Ce 0.333 0.667 0.624
Ce 0.667 0.333 0.376
Al 0.000 0.000 0.500
Cu 0.333 0.667 0.030
Cu 0.667 0.333 0.970
Si 0.192 0.383 0.282
Si 0.192 0.808 0.282
Si 0.383 0.192 0.718
Si 0.617 0.808 0.282
Si 0.808 0.192 0.718
Si 0.808 0.617 0.718

Peak list (6 most intense, 2θ from 5° to 70°, most intense first)
- 2θ = 31.11°, intensity 100
- 2θ = 28.35°, intensity 68
- 2θ = 37.80°, intensity 53
- 2θ = 20.92°, intensity 48
- 2θ = 38.36°, intensity 45
- 2θ = 42.59°, intensity 42

Record 2
# BeCoAs2
Computed X-ray powder pattern, Cu Kα. Input: DFT lattice parameters and positions (GGA-PBE).
No peak broadening, texture or thermal motion is included.

Unit cell a=2.867 b=2.867 c=7.507 alpha=90.00 beta=90.00 gamma=90.00
Fractional coordinates of all 4 atoms:
Be 0.000 0.000 0.000
Co 0.500 0.500 0.139
As 0.000 0.000 0.335
As 0.500 0.500 0.800

Peak list (6 most intense, 2θ from 5° to 70°, most intense first)
- 2θ = 33.45°, intensity 100
- 2θ = 48.27°, intensity 88
- 2θ = 44.69°, intensity 60
- 2θ = 11.79°, intensity 49
- 2θ = 23.70°, intensity 46
- 2θ = 39.55°, intensity 30

Record 3
# Pr8GaRu2
Computed X-ray powder pattern, Cu Kα. Input: DFT lattice parameters and positions (GGA-PBE).
No peak broadening, texture or thermal motion is included.

Unit cell a=8.150 b=8.150 c=5.791 alpha=98.94 beta=98.94 gamma=114.78
Fractional coordinates of all 11 atoms:
Pr 0.000 0.000 0.000
Pr 0.055 0.306 0.631
Pr 0.147 0.623 0.191
Pr 0.306 0.055 0.631
Pr 0.465 0.716 0.750
Pr 0.623 0.147 0.191
Pr 0.716 0.465 0.750
Pr 0.772 0.772 0.382
Ga 0.386 0.386 0.188
Ru 0.092 0.680 0.691
Ru 0.680 0.092 0.691

Peak list (6 most intense, 2θ from 5° to 70°, most intense first)
- 2θ = 30.63°, intensity 100
- 2θ = 33.70°, intensity 91
- 2θ = 32.02°, intensity 74
- 2θ = 30.15°, intensity 65
- 2θ = 31.61°, intensity 52
- 2θ = 51.79°, intensity 43

Record 4
# Ti3GaNi6
Computed X-ray powder pattern, Cu Kα. Input: DFT lattice parameters and positions (GGA-PBE).
No peak broadening, texture or thermal motion is included.

Unit cell a=7.016 b=4.269 c=9.082 alpha=90.00 beta=111.18 gamma=90.00
Fractional coordinates of all 20 atoms:
Ti 0.059 0.250 0.214
Ti 0.297 0.250 0.016
Ti 0.347 0.750 0.374
Ti 0.653 0.250 0.626
Ti 0.703 0.750 0.984
Ti 0.941 0.750 0.786
Ga 0.132 0.750 0.573
Ga 0.868 0.250 0.427
Ni 0.099 0.250 0.721
Ni 0.102 0.750 0.074
Ni 0.284 0.250 0.523
Ni 0.312 0.750 0.863
Ni 0.489 0.250 0.324
Ni 0.498 0.250 0.834
Ni 0.502 0.750 0.166
Ni 0.511 0.750 0.676
Ni 0.688 0.250 0.137
Ni 0.716 0.750 0.477
Ni 0.898 0.250 0.926
Ni 0.901 0.750 0.279

Peak list (6 most intense, 2θ from 5° to 70°, most intense first)
- 2θ = 44.64°, intensity 100
- 2θ = 45.27°, intensity 93
- 2θ = 42.35°, intensity 70
- 2θ = 45.94°, intensity 48
- 2θ = 40.48°, intensity 41
- 2θ = 60.02°, intensity 24

Record 5
# Pr5Nd2SmY
Computed X-ray powder pattern, Cu Kα. Input: DFT lattice parameters and positions (GGA-PBE).
No peak broadening, texture or thermal motion is included.

Unit cell a=10.345 b=10.345 c=10.345 alpha=129.34 beta=129.34 gamma=74.46
Fractional coordinates of all 18 atoms:
Pr 0.000 0.000 0.000
Pr 0.073 0.573 0.929
Pr 0.144 0.073 0.500
Pr 0.356 0.856 0.929
Pr 0.427 0.356 0.500
Pr 0.500 0.500 0.000
Pr 0.573 0.644 0.500
Pr 0.644 0.144 0.071
Pr 0.856 0.927 0.500
Pr 0.927 0.427 0.071
Nd 0.119 0.381 0.500
Nd 0.381 0.881 0.262
Nd 0.619 0.119 0.738
Nd 0.881 0.619 0.500
Sm 0.250 0.250 0.000
Sm 0.750 0.750 0.000
Y 0.250 0.750 0.500
Y 0.750 0.250 0.500

Peak list (6 most intense, 2θ from 5° to 70°, most intense first)
- 2θ = 29.63°, intensity 100
- 2θ = 28.52°, intensity 52
- 2θ = 27.78°, intensity 51
- 2θ = 51.21°, intensity 25
- 2θ = 31.97°, intensity 18
- 2θ = 37.02°, intensity 17

Record 6
# PmGa4Au6
Computed X-ray powder pattern, Cu Kα. Input: DFT lattice parameters and positions (GGA-PBE).
No peak broadening, texture or thermal motion is included.

Unit cell a=7.257 b=7.257 c=5.026 alpha=90.00 beta=90.00 gamma=120.00
Fractional coordinates of all 11 atoms:
Pm 0.000 0.000 0.000
Ga 0.017 0.598 0.500
Ga 0.402 0.419 0.500
Ga 0.581 0.983 0.500
Ga 0.667 0.333 0.000
Au 0.073 0.484 0.000
Au 0.247 0.011 0.500
Au 0.411 0.927 0.000
Au 0.516 0.589 0.000
Au 0.764 0.753 0.500
Au 0.989 0.236 0.500

Peak list (6 most intense, 2θ from 5° to 70°, most intense first)
- 2θ = 42.07°, intensity 100
- 2θ = 35.73°, intensity 48
- 2θ = 33.64°, intensity 44
- 2θ = 24.53°, intensity 32
- 2θ = 37.87°, intensity 29
- 2θ = 68.54°, intensity 24